[1]
Theoretical X-ray powder pattern of NiB4 for CuKα, from a cell relaxed with GGA-PBE.

Main lines, sorted by position (2θ from 10° to 90°):
2θ/deg, Rel. int.
27.29, 96
32.21, 100
42.71, 50
44.87, 42
54.49, 33
56.31, 30
57.43, 30
66.37, 26
67.39, 12
72.18, 10
74.15, 10
84.66, 11

Crystal structure
```
15
Lattice="5.558 0.000 0.000 -2.779 4.814 0.000 0.000 0.000 4.451" Properties=species:S:1:pos:R:3 pbc="T T T"
Ni 0.000 0.000 0.000
Ni 0.000 3.209 2.967
Ni 2.779 1.605 1.484
B 0.000 0.000 2.225
B -1.094 1.894 0.000
B -0.592 1.605 1.484
B -1.094 4.524 1.484
B 1.685 0.290 2.967
B 0.000 3.209 0.742
B 2.188 0.000 0.000
B 1.685 2.919 0.000
B 2.779 1.605 3.709
B 1.685 3.499 1.484
B 2.188 3.209 2.967
B 4.465 1.315 2.967
```

[2]
Theoretical X-ray powder pattern of Np2Ni12B7 for CuKα, from a cell relaxed with GGA-PBE.

Main lines, sorted by position (2θ from 10° to 90°):
2θ/deg, Rel. int.
11.74, 16
20.41, 18
29.67, 31
31.40, 28
35.74, 13
41.50, 15
41.98, 100
43.28, 11
55.94, 25
60.51, 11
72.31, 13
83.12, 9

Crystal structure
```
21
Lattice="8.703 0.000 0.000 -4.352 7.537 0.000 0.000 0.000 3.284" Properties=species:S:1:pos:R:3 pbc="T T T"
Np 0.000 0.000 0.000
Np 0.000 5.025 1.642
Ni -0.794 2.163 1.642
Ni -2.235 5.349 0.000
Ni -2.081 7.143 1.642
Ni 0.836 2.927 0.000
Ni 2.696 1.370 0.000
Ni 2.768 3.269 1.642
Ni 4.488 0.762 1.642
Ni 1.398 6.798 0.000
Ni 2.875 5.768 1.642
Ni 4.190 4.517 0.000
Ni 6.168 1.650 0.000
Ni 5.799 3.506 1.642
B -1.404 3.366 0.000
B 1.407 1.685 1.642
B -0.734 7.070 0.000
B 2.138 4.638 0.000
B 4.352 2.512 0.000
B 6.541 0.376 1.642
B 5.107 5.477 1.642
```